# 1
Simulated powder X-ray diffraction pattern
Compound: Pr2FeGe4
Radiation: CuKα
Structure: a cell relaxed with PBE

Peak list (10 most intense, 15° ≤ 2θ ≤ 90°, in order of rising 2θ)
23.5 deg, I = 12; 32.9 deg, I = 15; 33.7 deg, I = 100; 34.4 deg, I = 22; 39.2 deg, I = 19; 41.7 deg, I = 22; 42.2 deg, I = 21; 58.6 deg, I = 11; 60.8 deg, I = 15; 71.0 deg, I = 11

Crystal structure
```
14
Lattice="4.283 0.000 0.000 0.000 4.332 0.000 0.000 0.000 16.314" Properties=species:S:1:pos:R:3 pbc="T T T"
Pr 0.000 0.000 0.000
Pr 0.000 2.166 8.157
Pr 2.141 0.000 3.371
Pr 2.141 2.166 11.528
Fe 0.000 0.000 13.042
Fe 0.000 2.166 4.885
Ge 0.000 0.000 5.829
Ge 0.000 0.000 10.676
Ge 0.000 2.166 2.519
Ge 0.000 2.166 13.985
Ge 2.141 0.000 9.049
Ge 2.141 0.000 13.945
Ge 2.141 2.166 0.892
Ge 2.141 2.166 5.788
```

# 2
Simulated powder X-ray diffraction pattern
Compound: ScFeGe2
Radiation: CuKα
Structure: a cell relaxed with PBE

Peak list (10 most intense, 15° ≤ 2θ ≤ 90°, in order of rising 2θ)
37.1 deg, I = 31; 37.8 deg, I = 59; 39.7 deg, I = 46; 40.1 deg, I = 100; 42.4 deg, I = 52; 45.1 deg, I = 24; 46.9 deg, I = 16; 50.3 deg, I = 20; 68.4 deg, I = 14; 78.3 deg, I = 12

Crystal structure
```
48
Lattice="9.255 0.000 0.000 0.000 10.049 0.000 0.000 0.000 8.047" Properties=species:S:1:pos:R:3 pbc="T T T"
Sc 1.521 1.788 0.000
Sc 1.593 4.553 1.937
Sc 1.593 4.553 6.110
Sc 3.034 9.578 1.937
Sc 3.034 9.578 6.110
Sc 3.106 6.812 0.000
Sc 6.148 3.237 0.000
Sc 6.220 0.471 1.937
Sc 6.220 0.471 6.110
Sc 7.662 5.496 1.937
Sc 7.662 5.496 6.110
Sc 7.734 8.261 0.000
Fe 0.000 0.000 1.974
Fe 0.000 0.000 6.073
Fe 0.790 7.541 2.017
Fe 0.790 7.541 6.030
Fe 3.838 2.517 2.017
Fe 3.838 2.517 6.030
Fe 4.627 5.024 1.974
Fe 4.627 5.024 6.073
Fe 5.417 7.532 2.017
Fe 5.417 7.532 6.030
Fe 8.465 2.507 2.017
Fe 8.465 2.507 6.030
Ge 0.382 6.268 0.000
Ge 0.393 6.292 4.023
Ge 1.168 9.102 4.023
Ge 1.206 9.029 0.000
Ge 1.511 1.819 2.755
Ge 1.511 1.819 5.292
Ge 3.116 6.844 2.755
Ge 3.116 6.844 5.292
Ge 3.421 4.004 0.000
Ge 3.460 4.078 4.023
Ge 4.235 1.267 4.023
Ge 4.246 1.244 0.000
Ge 5.009 8.805 0.000
Ge 5.020 8.782 4.023
Ge 5.795 5.971 4.023
Ge 5.834 6.044 0.000
Ge 6.138 3.205 2.755
Ge 6.138 3.205 5.292
Ge 7.744 8.229 2.755
Ge 7.744 8.229 5.292
Ge 8.049 1.020 0.000
Ge 8.087 0.947 4.023
Ge 8.862 3.757 4.023
Ge 8.873 3.781 0.000
```

# 3
Simulated powder X-ray diffraction pattern
Compound: FeSiGe
Radiation: CuKα
Structure: a cell relaxed with PBE

Peak list (10 most intense, 15° ≤ 2θ ≤ 90°, in order of rising 2θ)
22.1 deg, I = 19; 22.5 deg, I = 24; 28.3 deg, I = 35; 28.5 deg, I = 38; 43.6 deg, I = 27; 45.2 deg, I = 22; 47.3 deg, I = 44; 47.6 deg, I = 20; 48.0 deg, I = 100; 49.3 deg, I = 23

Crystal structure
```
24
Lattice="5.114 -3.958 0.000 5.114 3.958 0.000 0.000 0.000 8.030" Properties=species:S:1:pos:R:3 pbc="T T T"
Fe 5.114 2.418 6.542
Fe 2.222 0.000 0.000
Fe 2.891 0.000 4.015
Fe 5.114 1.540 2.528
Fe 5.114 -1.540 5.502
Fe 7.336 0.000 4.015
Fe 8.005 0.000 0.000
Fe 5.114 -2.418 1.487
Si 3.809 2.142 4.371
Si 3.809 1.816 0.356
Si 6.418 2.142 4.371
Si 6.418 1.816 0.356
Si 3.809 -1.816 7.673
Si 3.809 -2.142 3.658
Si 6.418 -1.816 7.673
Si 6.418 -2.142 3.658
Ge 1.292 0.343 5.837
Ge 1.292 -0.343 2.193
Ge 3.822 0.343 6.208
Ge 3.822 -0.343 1.822
Ge 6.406 0.343 6.208
Ge 6.406 -0.343 1.822
Ge 8.935 0.343 5.837
Ge 8.935 -0.343 2.193
```

# 4
Simulated powder X-ray diffraction pattern
Compound: FeSiGe
Radiation: CuKα
Structure: a cell relaxed with PBE

Peak list (10 most intense, 15° ≤ 2θ ≤ 90°, in order of rising 2θ)
22.1 deg, I = 25; 22.3 deg, I = 22; 28.4 deg, I = 42; 28.5 deg, I = 37; 36.5 deg, I = 48; 44.9 deg, I = 24; 45.6 deg, I = 26; 47.6 deg, I = 63; 48.2 deg, I = 100; 49.2 deg, I = 34

Crystal structure
```
24
Lattice="5.074 -3.979 0.000 5.074 3.979 0.000 0.000 0.000 8.027" Properties=species:S:1:pos:R:3 pbc="T T T"
Fe 5.074 2.458 6.535
Fe 2.191 0.000 0.000
Fe 2.883 0.000 4.013
Fe 5.074 1.522 2.521
Fe 5.074 -1.522 5.506
Fe 7.266 0.000 4.013
Fe 7.958 0.000 0.000
Fe 5.074 -2.458 1.492
Si 1.285 0.344 5.854
Si 1.285 -0.344 2.173
Si 3.790 0.344 6.186
Si 3.790 -0.344 1.840
Si 6.359 0.344 6.186
Si 6.359 -0.344 1.840
Si 8.864 0.344 5.854
Si 8.864 -0.344 2.173
Ge 3.773 2.188 4.433
Ge 3.773 1.791 0.420
Ge 6.376 2.188 4.433
Ge 6.376 1.791 0.420
Ge 3.773 -1.791 7.607
Ge 3.773 -2.188 3.593
Ge 6.376 -1.791 7.607
Ge 6.376 -2.188 3.593
```

# 5
Simulated powder X-ray diffraction pattern
Compound: SmFe2Ge2
Radiation: CuKα
Structure: a cell relaxed with PBE

Peak list (10 most intense, 15° ≤ 2θ ≤ 90°, in order of rising 2θ)
31.7 deg, I = 30; 33.6 deg, I = 94; 35.9 deg, I = 100; 45.4 deg, I = 58; 48.0 deg, I = 42; 57.6 deg, I = 39; 66.2 deg, I = 18; 68.2 deg, I = 29; 77.6 deg, I = 20; 87.3 deg, I = 16

Crystal structure
```
10
Lattice="3.995 0.000 0.000 0.000 3.995 0.000 0.000 0.000 10.770" Properties=species:S:1:pos:R:3 pbc="T T T"
Sm 0.000 0.000 0.000
Sm 1.998 1.998 5.385
Fe 0.000 1.998 2.693
Fe 0.000 1.998 8.078
Fe 1.998 0.000 2.693
Fe 1.998 0.000 8.078
Ge 0.000 0.000 4.095
Ge 0.000 0.000 6.675
Ge 1.998 1.998 1.290
Ge 1.998 1.998 9.480
```

# 6
Simulated powder X-ray diffraction pattern
Compound: SmFeGe2
Radiation: CuKα
Structure: a cell relaxed with PBE

Peak list (10 most intense, 15° ≤ 2θ ≤ 90°, in order of rising 2θ)
30.0 deg, I = 23; 33.8 deg, I = 100; 34.5 deg, I = 35; 38.9 deg, I = 28; 41.9 deg, I = 29; 42.5 deg, I = 28; 54.7 deg, I = 15; 55.3 deg, I = 18; 59.0 deg, I = 21; 61.2 deg, I = 18

Crystal structure
```
16
Lattice="4.253 0.000 0.000 0.000 16.448 0.000 0.000 0.000 4.316" Properties=species:S:1:pos:R:3 pbc="T T T"
Sm 0.000 1.757 1.079
Sm 0.000 14.690 3.237
Sm 2.127 6.466 3.237
Sm 2.127 9.981 1.079
Fe 0.000 5.188 1.079
Fe 0.000 11.260 3.237
Fe 2.127 3.036 3.237
Fe 2.127 13.412 1.079
Ge 0.000 4.130 3.237
Ge 0.000 7.490 1.079
Ge 0.000 8.958 3.237
Ge 0.000 12.318 1.079
Ge 2.127 0.734 3.237
Ge 2.127 4.094 1.079
Ge 2.127 12.354 3.237
Ge 2.127 15.713 1.079
```

# 7
Simulated powder X-ray diffraction pattern
Compound: Sm2FeGe4
Radiation: CuKα
Structure: a cell relaxed with PBE

Peak list (10 most intense, 15° ≤ 2θ ≤ 90°, in order of rising 2θ)
23.9 deg, I = 12; 34.0 deg, I = 16; 34.4 deg, I = 100; 35.3 deg, I = 20; 40.3 deg, I = 16; 42.4 deg, I = 22; 42.8 deg, I = 21; 56.7 deg, I = 17; 61.8 deg, I = 14; 73.0 deg, I = 17

Crystal structure
```
14
Lattice="4.224 0.000 0.000 0.000 4.267 0.000 0.000 0.000 15.812" Properties=species:S:1:pos:R:3 pbc="T T T"
Sm 0.000 0.000 0.000
Sm 0.000 2.134 7.906
Sm 2.112 0.000 3.222
Sm 2.112 2.134 11.129
Fe 0.000 0.000 12.631
Fe 0.000 2.134 4.725
Ge 0.000 0.000 5.697
Ge 0.000 0.000 10.301
Ge 0.000 2.134 2.395
Ge 0.000 2.134 13.603
Ge 2.112 0.000 8.618
Ge 2.112 0.000 13.549
Ge 2.112 2.134 0.711
Ge 2.112 2.134 5.643
```

# 8
Simulated powder X-ray diffraction pattern
Compound: Tb4FeGe8
Radiation: CuKα
Structure: a cell relaxed with PBE

Peak list (10 most intense, 15° ≤ 2θ ≤ 90°, in order of rising 2θ)
24.9 deg, I = 13; 33.6 deg, I = 13; 35.4 deg, I = 100; 40.7 deg, I = 13; 43.5 deg, I = 16; 45.4 deg, I = 14; 64.7 deg, I = 10; 74.6 deg, I = 11; 75.1 deg, I = 8; 77.3 deg, I = 9

Crystal structure
```
13
Lattice="3.997 0.000 0.000 0.000 4.157 0.000 0.000 0.000 16.008" Properties=species:S:1:pos:R:3 pbc="T T T"
Tb 0.000 0.000 0.000
Tb 0.000 2.078 7.952
Tb 1.998 0.000 3.301
Tb 1.998 2.078 11.281
Fe 0.000 0.000 12.682
Ge 0.000 0.000 5.659
Ge 0.000 0.000 10.366
Ge 0.000 2.078 2.462
Ge 0.000 2.078 13.784
Ge 1.998 0.000 8.737
Ge 1.998 0.000 13.804
Ge 1.998 2.078 0.767
Ge 1.998 2.078 5.609
```